This entry pairs a crystal structure of K2VAgSe2 with its computed PXRD pattern. Radiation: λ = 1.5418 Å (Cu Kα). Structure: a cell relaxed with PBE.

Crystal structure
a b c (Å): 9.4684 12.3605 24.5057
angles (deg): 90.00 90.00 90.00
Space group Fddd (No. 70, origin choice 2)
Unique sites:
K 0.0449 0.0099 0.3492 (multiplicity 32)
V 0.0000 0.0000 0.5000 (multiplicity 16)
Ag 0.0000 0.0000 0.0000 (multiplicity 16)
Se 0.0164 0.3033 0.0386 (multiplicity 32)

Peak list (10 most intense, 2θ from 15° to 90°, in order of falling intensity)
(2 2 6), 32.4°, d 2.765, rel. 100
(0 4 0), 28.9°, d 3.090, rel. 58
(1 3 1), 23.8°, d 3.734, rel. 39
(2 2 14), 58.1°, d 1.587, rel. 38
(4 0 0), 38.0°, d 2.367, rel. 38
(2 6 6), 53.4°, d 1.715, rel. 33
(1 1 5), 21.6°, d 4.105, rel. 33
(1 1 9), 35.1°, d 2.560, rel. 30
(2 2 10), 44.1°, d 2.053, rel. 30
(2 6 2), 48.8°, d 1.867, rel. 29